Record 1
Simulated X-ray powder pattern
Compound: Pm2Pr3Th
Radiation: a wavelength of 1.5418 Å
Structure: a crystal structure in Alexandria, relaxed with PBE

Principal peaks in the range 2θ = 5–70°, low angle first:
| 2θ (°) | I_rel |
| --- | --- |
| 10.21 | 4 |
| 29.79 | 100 |
| 34.40 | 17 |
| 34.61 | 34 |
| 38.83 | 1 |
| 49.59 | 24 |
| 49.75 | 12 |
| 58.80 | 14 |
| 59.07 | 29 |
| 61.88 | 12 |

Cell lengths 9.7173, 9.7173, 9.7173 Å; angles 149.08, 115.09, 73.62 degrees
Sites, in units of the cell vectors:
Pm 0.0833 0.3333 0.7500
Pm 0.2537 0.0037 0.2500
Pm 0.7463 0.9963 0.7500
Pm 0.9167 0.6667 0.2500
Pr 0.0000 0.5000 0.5000
Pr 0.1757 0.1683 0.0074
Pr 0.3391 0.8317 0.5074
Pr 0.5000 0.5000 0.0000
Pr 0.6609 0.1683 0.4926
Pr 0.8243 0.8317 0.9926
Th 0.4196 0.6696 0.7500
Th 0.5804 0.3304 0.2500



Record 2
Simulated X-ray powder pattern
Compound: Pm12Pr6Th
Radiation: a wavelength of 1.5418 Å
Structure: a crystal structure in Alexandria, relaxed with PBE

Principal peaks in the range 2θ = 5–70°, low angle first:
| 2θ (°) | I_rel |
| --- | --- |
| 28.38 | 27 |
| 30.81 | 100 |
| 31.39 | 71 |
| 33.62 | 21 |
| 35.21 | 10 |
| 47.88 | 28 |
| 55.51 | 26 |
| 56.96 | 20 |
| 59.77 | 13 |
| 65.50 | 11 |

Cell lengths 8.9219, 8.9219, 8.9219 Å; angles 98.22, 98.22, 98.22 degrees
Sites, in units of the cell vectors:
Pm 0.0000 0.2620 0.7380
Pm 0.0000 0.7380 0.2620
Pm 0.1700 0.5860 0.5860
Pm 0.2620 0.0000 0.7380
Pm 0.2620 0.7380 0.0000
Pm 0.4140 0.4140 0.8300
Pm 0.4140 0.8300 0.4140
Pm 0.5860 0.1700 0.5860
Pm 0.5860 0.5860 0.1700
Pm 0.7380 0.0000 0.2620
Pm 0.7380 0.2620 0.0000
Pm 0.8300 0.4140 0.4140
Pr 0.1405 0.1405 0.4055
Pr 0.1405 0.4055 0.1405
Pr 0.4055 0.1405 0.1405
Pr 0.5945 0.8595 0.8595
Pr 0.8595 0.5945 0.8595
Pr 0.8595 0.8595 0.5945
Th 0.0000 0.0000 0.0000



Record 3
Simulated X-ray powder pattern
Compound: PmPr6Th
Radiation: a wavelength of 1.5418 Å
Structure: a crystal structure in Alexandria, relaxed with PBE

Principal peaks in the range 2θ = 5–70°, low angle first:
| 2θ (°) | I_rel |
| --- | --- |
| 8.48 | 2 |
| 17.01 | 1 |
| 19.04 | 1 |
| 24.15 | 1 |
| 29.69 | 100 |
| 34.41 | 51 |
| 35.50 | 1 |
| 49.46 | 37 |
| 58.75 | 44 |
| 61.64 | 13 |

Cell lengths 5.2110, 5.2110, 10.4307 Å; angles 90.00, 90.00, 90.00 degrees
Sites, in units of the cell vectors:
Pm 0.0000 0.0000 0.0000
Pr 0.0000 0.5000 0.2543
Pr 0.0000 0.5000 0.7457
Pr 0.5000 0.0000 0.2543
Pr 0.5000 0.0000 0.7457
Pr 0.5000 0.5000 0.0000
Pr 0.5000 0.5000 0.5000
Th 0.0000 0.0000 0.5000



Record 4
Simulated X-ray powder pattern
Compound: Pm12PrTh7
Radiation: a wavelength of 1.5418 Å
Structure: a crystal structure in Alexandria, relaxed with PBE

Principal peaks in the range 2θ = 5–70°, low angle first:
| 2θ (°) | I_rel |
| --- | --- |
| 21.67 | 71 |
| 24.26 | 24 |
| 26.62 | 34 |
| 28.80 | 25 |
| 30.83 | 100 |
| 38.00 | 78 |
| 44.17 | 50 |
| 49.71 | 23 |
| 59.65 | 46 |
| 68.66 | 35 |

Cell lengths 10.0458, 10.0458, 10.0458 Å; angles 109.47, 109.47, 109.47 degrees
Sites, in units of the cell vectors:
Pm 0.0774 0.3081 0.7693
Pm 0.2307 0.5387 0.3081
Pm 0.2307 0.9226 0.6919
Pm 0.3081 0.2307 0.5387
Pm 0.3081 0.7693 0.0774
Pm 0.4613 0.6919 0.7693
Pm 0.5387 0.3081 0.2307
Pm 0.6919 0.2307 0.9226
Pm 0.6919 0.7693 0.4613
Pm 0.7693 0.0774 0.3081
Pm 0.7693 0.4613 0.6919
Pm 0.9226 0.6919 0.2307
Pr 0.0000 0.0000 0.0000
Th 0.0000 0.0000 0.5000
Th 0.0000 0.5000 0.0000
Th 0.0000 0.5000 0.5000
Th 0.5000 0.0000 0.0000
Th 0.5000 0.0000 0.5000
Th 0.5000 0.5000 0.0000
Th 0.5000 0.5000 0.5000



Record 5
Simulated X-ray powder pattern
Compound: Pm5PrTh2
Radiation: a wavelength of 1.5418 Å
Structure: a crystal structure in Alexandria, relaxed with PBE

Principal peaks in the range 2θ = 5–70°, low angle first:
| 2θ (°) | I_rel |
| --- | --- |
| 29.30 | 25 |
| 30.23 | 52 |
| 30.73 | 100 |
| 31.41 | 44 |
| 31.92 | 36 |
| 34.44 | 18 |
| 37.42 | 17 |
| 45.39 | 24 |
| 56.45 | 19 |
| 60.78 | 29 |

Cell lengths 9.0248, 9.0248, 9.0248 Å; angles 157.13, 101.73, 82.84 degrees
Sites, in units of the cell vectors:
Pm 0.0000 0.0000 0.0000
Pm 0.1018 0.3689 0.7329
Pm 0.3639 0.6311 0.7329
Pm 0.6361 0.3689 0.2671
Pm 0.8982 0.6311 0.2671
Pr 0.5000 0.0000 0.5000
Th 0.2587 0.2587 0.0000
Th 0.7413 0.7413 0.0000



Record 6
Simulated X-ray powder pattern
Compound: Pm5Pr2Th2
Radiation: a wavelength of 1.5418 Å
Structure: a crystal structure in Alexandria, relaxed with PBE

Principal peaks in the range 2θ = 5–70°, low angle first:
| 2θ (°) | I_rel |
| --- | --- |
| 30.00 | 100 |
| 30.08 | 33 |
| 34.76 | 46 |
| 34.89 | 22 |
| 49.99 | 32 |
| 50.13 | 16 |
| 59.38 | 29 |
| 59.50 | 19 |
| 59.62 | 10 |
| 62.35 | 12 |

Cell lengths 6.3082, 6.3085, 9.6309 Å; angles 71.14, 71.11, 60.17 degrees
Sites, in units of the cell vectors:
Pm 0.0000 0.0000 0.0000
Pm 0.1145 0.4456 0.6627
Pm 0.4444 0.7783 0.6622
Pm 0.5556 0.2217 0.3378
Pm 0.8855 0.5544 0.3373
Pr 0.3363 0.3259 0.0001
Pr 0.6637 0.6741 0.9999
Th 0.2135 0.8945 0.3378
Th 0.7865 0.1055 0.6622